Diffraction record for AlVMoO7. The powder diffraction line list is simulated, not measured: it uses a crystal structure in Alexandria, relaxed with PBE+U and Cu Kα (weighted mean of Kα1 and Kα2).
Intensities are scaled so that the largest is 100.

Structural model:
```
AlVMoO7
1.0
12.9350 0.0000 0.0000
0.0000 5.4448 0.0000
0.0000 0.0000 8.3431
Al V Mo O
4 4 4 28
direct
0.1116 0.2500 0.2334 Al
0.3884 0.7500 0.7334 Al
0.6116 0.2500 0.2666 Al
0.8884 0.7500 0.7666 Al
0.0161 0.2500 0.5667 V
0.4839 0.7500 0.0667 V
0.5161 0.2500 0.9333 V
0.9839 0.7500 0.4333 V
0.1457 0.7500 0.9557 Mo
0.3543 0.2500 0.4557 Mo
0.6457 0.7500 0.5443 Mo
0.8543 0.2500 0.0443 Mo
0.0270 0.7500 0.8457 O
0.0680 0.0217 0.3990 O
0.0680 0.4783 0.3990 O
0.0992 0.2500 0.7110 O
0.1490 0.0093 0.0861 O
0.1490 0.4907 0.0861 O
0.2451 0.2500 0.3237 O
0.2549 0.7500 0.8237 O
0.3510 0.5093 0.5861 O
0.3510 0.9907 0.5861 O
0.4008 0.7500 0.2110 O
0.4320 0.5217 0.8990 O
0.4320 0.9783 0.8990 O
0.4730 0.2500 0.3457 O
0.5270 0.7500 0.6543 O
0.5680 0.0217 0.1010 O
0.5680 0.4783 0.1010 O
0.5992 0.2500 0.7890 O
0.6490 0.0093 0.4139 O
0.6490 0.4907 0.4139 O
0.7451 0.2500 0.1763 O
0.7549 0.7500 0.6763 O
0.8510 0.5093 0.9139 O
0.8510 0.9907 0.9139 O
0.9008 0.7500 0.2890 O
0.9320 0.5217 0.6010 O
0.9320 0.9783 0.6010 O
0.9730 0.2500 0.1543 O
```

Main lines, by angle (10 to 90 degrees two-theta):
| 2theta | I (rel.) | (hkl) |
| --- | --- | --- |
| 13.69 | 16 | 2 0 0 |
| 19.47 | 16 | 0 1 1 |
| 20.65 | 85 | 1 1 1 |
| 21.31 | 25 | 0 0 2 |
| 23.22 | 100 | 3 0 1 |
| 27.81 | 43 | 1 1 2 |
| 30.32 | 49 | 2 1 2 |
| 32.90 | 21 | 0 2 0 |
| 48.89 | 21 | 2 2 3 |
| 50.54 | 17 | 7 0 1 |